No. 1
Structure and calculated PXRD pattern of TlFeRh (a cell relaxed with GGA-PBE; a wavelength of 1.5418 Å).
Neutral-atom scattering factors, no anomalous dispersion.

Largest 8 diffraction maxima, by angle, 5 to 70 degrees two-theta:
25.67°, intensity 46.4, hkl 1 0 1
29.32°, intensity 86.6, hkl 1 0 4
31.33°, intensity 27.8, hkl 0 1 5
36.19°, intensity 26.8, hkl 1 0 7
38.96°, intensity 100.0, hkl 0 1 8
44.77°, intensity 86.7, hkl 1 1 0
60.82°, intensity 26.8, hkl 2 0 8
64.71°, intensity 23.4, hkl 1 1 12

Cell and atoms:
abc: 4.0482 4.0482 24.6042
angles: 90.00 90.00 120.00
Space group R3m (No. 160, hexagonal axes)
One atom of each set of equivalent atoms:
Tl 0.0000 0.0000 0.0000 [3 per cell]
Tl 0.0000 0.0000 0.2415 [3 per cell]
Fe 0.0000 0.0000 0.1127 [3 per cell]
Fe 0.0000 0.0000 0.4756 [3 per cell]
Rh 0.0000 0.0000 0.7379 [3 per cell]
Rh 0.0000 0.0000 0.8455 [3 per cell]

No. 2
Structure and calculated PXRD pattern of VFeRh (a cell relaxed with GGA-PBE; a wavelength of 1.5418 Å).
Neutral-atom scattering factors, no anomalous dispersion.

Largest 8 diffraction maxima, by angle, 5 to 70 degrees two-theta:
20.19°, intensity 5.4, hkl 0 0 2
31.64°, intensity 19.0, hkl 1 0 1
41.05°, intensity 4.7, hkl 0 0 4
42.83°, intensity 53.0, hkl 1 1 0
43.25°, intensity 100.0, hkl 1 0 3
60.82°, intensity 5.9, hkl 1 1 4
62.17°, intensity 16.5, hkl 2 0 0
63.47°, intensity 6.8, hkl 0 0 6

Cell and atoms:
abc: 2.9861 2.9861 8.7943
angles: 90.00 90.00 90.00
Space group I4mm (No. 107)
One atom of each set of equivalent atoms:
V 0.0000 0.0000 0.0000 [2 per cell]
Fe 0.0000 0.0000 0.3581 [2 per cell]
Rh 0.0000 0.0000 0.6748 [2 per cell]

No. 3
Structure and calculated PXRD pattern of V7Fe3Rh (a cell relaxed with GGA-PBE; a wavelength of 1.5418 Å).
Neutral-atom scattering factors, no anomalous dispersion.

Largest 8 diffraction maxima, by angle, 5 to 70 degrees two-theta:
38.72°, intensity 39.8, hkl 1 1 -3
39.54°, intensity 28.4, hkl 0 2 5
40.68°, intensity 68.1, hkl 0 8 0
41.25°, intensity 66.4, hkl 1 3 2
41.41°, intensity 27.6, hkl 1 3 -3
43.23°, intensity 31.9, hkl 1 1 -4
43.46°, intensity 41.7, hkl 0 4 5
46.24°, intensity 100.0, hkl 1 5 2

Cell and atoms:
abc: 2.7115 17.7447 11.8638
angles: 90.00 96.29 90.00
Space group C2/c (No. 15)
One atom of each set of equivalent atoms:
V 0.0000 0.0592 0.2500 [4 per cell]
V 0.0906 0.1919 0.4466 [8 per cell]
V 0.1704 0.3194 0.1403 [8 per cell]
V 0.2370 0.4548 0.4178 [8 per cell]
Fe 0.0000 0.0808 0.7500 [4 per cell]
Fe 0.1066 0.4170 0.9188 [8 per cell]
Rh 0.0000 0.3037 0.7500 [4 per cell]

No. 4
Structure and calculated PXRD pattern of V3Fe3Rh (a cell relaxed with GGA-PBE; a wavelength of 1.5418 Å).
Neutral-atom scattering factors, no anomalous dispersion.

Largest 8 diffraction maxima, by angle, 5 to 70 degrees two-theta:
35.49°, intensity 17.7, hkl 3 1 0
37.01°, intensity 19.5, hkl 1 1 2
38.51°, intensity 13.3, hkl 1 3 1
39.39°, intensity 20.5, hkl 3 1 1
43.95°, intensity 36.1, hkl 0 4 0
45.51°, intensity 13.8, hkl 4 0 0
46.38°, intensity 100.0, hkl 2 2 2
47.61°, intensity 10.3, hkl 3 3 0

Cell and atoms:
abc: 7.9730 8.2407 5.3631
angles: 90.00 90.00 90.00
Space group Cmmm (No. 65)
One atom of each set of equivalent atoms:
V 0.0000 0.2130 0.0000 [4 per cell]
V 0.0000 0.2637 0.5000 [4 per cell]
V 0.2396 0.5000 0.0000 [4 per cell]
Fe 0.0000 0.5000 0.2490 [4 per cell]
Fe 0.2500 0.2500 0.2470 [8 per cell]
Rh 0.1652 0.0000 0.5000 [4 per cell]

No. 5
Structure and calculated PXRD pattern of V4Fe12Rh (a cell relaxed with GGA-PBE; a wavelength of 1.5418 Å).
Neutral-atom scattering factors, no anomalous dispersion.

Largest 8 diffraction maxima, by angle, 5 to 70 degrees two-theta:
23.66°, intensity 21.4, hkl 2 0 0
33.71°, intensity 10.7, hkl 2 2 0
37.83°, intensity 23.4, hkl 3 1 0
41.60°, intensity 100.0, hkl 2 2 2
45.11°, intensity 40.0, hkl 3 2 1
48.42°, intensity 77.0, hkl 4 0 0
51.56°, intensity 19.4, hkl 3 3 0
57.48°, intensity 28.3, hkl 3 3 2

Cell and atoms:
abc: 7.5202 7.5202 7.5202
angles: 90.00 90.00 90.00
Space group Im-3m (No. 229)
One atom of each set of equivalent atoms:
V 0.2500 0.2500 0.2500 [8 per cell]
Fe 0.0000 0.0000 0.3118 [12 per cell]
Fe 0.0000 0.2500 0.5000 [12 per cell]
Rh 0.0000 0.0000 0.0000 [2 per cell]

No. 6
Structure and calculated PXRD pattern of VFeRhW2 (a cell relaxed with GGA-PBE; a wavelength of 1.5418 Å).
Neutral-atom scattering factors, no anomalous dispersion.

Largest 8 diffraction maxima, by angle, 5 to 70 degrees two-theta:
21.28°, intensity 30.3, hkl 0 0 1
29.37°, intensity 10.7, hkl 1 0 1
35.79°, intensity 100.0, hkl 1 1 1
40.65°, intensity 55.5, hkl 2 0 0
43.35°, intensity 23.1, hkl 0 0 2
46.33°, intensity 16.5, hkl 2 0 1
58.84°, intensity 18.5, hkl 2 2 0
60.93°, intensity 33.2, hkl 2 0 2

Cell and atoms:
abc: 4.4388 4.4388 4.1748
angles: 90.00 90.00 90.00
Space group P4/mmm (No. 123)
One atom of each set of equivalent atoms:
V 0.0000 0.0000 0.0000 [1 per cell]
Fe 0.0000 0.0000 0.5000 [1 per cell]
Rh 0.5000 0.5000 0.0000 [1 per cell]
W 0.0000 0.5000 0.5000 [2 per cell]

No. 7
Structure and calculated PXRD pattern of Fe2RhW (a cell relaxed with GGA-PBE; a wavelength of 1.5418 Å).
Neutral-atom scattering factors, no anomalous dispersion.

Largest 8 diffraction maxima, by angle, 5 to 70 degrees two-theta:
23.34°, intensity 3.7, hkl 0 0 2
26.64°, intensity 33.6, hkl 1 0 1
41.70°, intensity 100.0, hkl 1 1 2
43.11°, intensity 9.7, hkl 1 0 3
47.73°, intensity 16.8, hkl 0 0 4
48.92°, intensity 31.2, hkl 2 0 0
56.57°, intensity 9.2, hkl 2 1 1
67.22°, intensity 5.6, hkl 2 1 3

Cell and atoms:
abc: 3.7235 3.7235 7.6215
angles: 90.00 90.00 90.00
Space group I-4m2 (No. 119)
One atom of each set of equivalent atoms:
Fe 0.0000 0.0000 0.0000 [2 per cell]
Fe 0.0000 0.5000 0.2500 [2 per cell]
Rh 0.0000 0.0000 0.5000 [2 per cell]
W 0.0000 0.5000 0.7500 [2 per cell]

No. 8
Structure and calculated PXRD pattern of Zn2FeRh (a cell relaxed with GGA-PBE; a wavelength of 1.5418 Å).
Neutral-atom scattering factors, no anomalous dispersion.

Largest 8 diffraction maxima, by angle, 5 to 70 degrees two-theta:
20.14°, intensity 4.9, hkl 0 0 1
20.55°, intensity 6.8, hkl 2 0 0
40.75°, intensity 100.0, hkl 1 1 1
41.79°, intensity 46.3, hkl 4 0 0
42.03°, intensity 45.7, hkl 2 0 -2
47.06°, intensity 65.1, hkl 3 1 -1
50.13°, intensity 26.6, hkl 2 0 2
67.10°, intensity 10.6, hkl 0 2 0

Cell and atoms:
abc: 8.8316 2.7897 4.5042
angles: 90.00 101.77 90.00
Space group Cm (No. 8)
One atom of each set of equivalent atoms:
Zn 0.0000 0.0000 0.0000 [2 per cell]
Zn 0.2441 0.0000 0.7464 [2 per cell]
Fe 0.2495 0.5000 0.2542 [2 per cell]
Rh 0.4948 0.0000 0.4922 [2 per cell]

No. 9
Structure and calculated PXRD pattern of FeRu (a cell relaxed with GGA-PBE; a wavelength of 1.5418 Å).
Neutral-atom scattering factors, no anomalous dispersion.

Largest 8 diffraction maxima, by angle, 5 to 70 degrees two-theta:
27.00°, intensity 12.4, hkl 1 0 1
42.20°, intensity 100.0, hkl 1 1 2
43.46°, intensity 3.5, hkl 1 0 3
47.95°, intensity 17.0, hkl 0 0 4
49.71°, intensity 30.5, hkl 2 0 0
57.48°, intensity 3.2, hkl 2 1 1
66.69°, intensity 1.1, hkl 1 0 5
68.13°, intensity 2.0, hkl 2 1 3

Cell and atoms:
abc: 3.6681 3.6681 7.5888
angles: 90.00 90.00 90.00
Space group I4_1/amd (No. 141, origin choice 2)
One atom of each set of equivalent atoms:
Fe 0.0000 0.2500 0.3750 [4 per cell]
Ru 0.0000 0.2500 0.8750 [4 per cell]

No. 10
Structure and calculated PXRD pattern of Fe5Ru (a cell relaxed with GGA-PBE; a wavelength of 1.5418 Å).
Neutral-atom scattering factors, no anomalous dispersion.

Largest 8 diffraction maxima, by angle, 5 to 70 degrees two-theta:
23.45°, intensity 3.3, hkl 1 1 1
27.14°, intensity 4.1, hkl 2 0 0
38.76°, intensity 39.4, hkl 2 2 0
45.80°, intensity 100.0, hkl 3 1 1
47.96°, intensity 30.0, hkl 2 2 2
55.97°, intensity 1.2, hkl 4 0 0
61.51°, intensity 0.9, hkl 3 3 1
63.29°, intensity 1.4, hkl 4 2 0

Cell and atoms:
abc: 6.5714 6.5714 6.5714
angles: 90.00 90.00 90.00
Space group F-43m (No. 216)
One atom of each set of equivalent atoms:
Fe 0.0000 0.0000 0.0000 [4 per cell]
Fe 0.1257 0.1257 0.3743 [16 per cell]
Ru 0.2500 0.2500 0.7500 [4 per cell]

No. 11
Structure and calculated PXRD pattern of FeRuS2 (a cell relaxed with GGA-PBE; a wavelength of 1.5418 Å).
Neutral-atom scattering factors, no anomalous dispersion.

Largest 8 diffraction maxima, by angle, 5 to 70 degrees two-theta:
15.95°, intensity 100.0, hkl 0 0 1
28.75°, intensity 20.1, hkl 1 0 1
33.85°, intensity 9.3, hkl 1 1 0
37.63°, intensity 34.8, hkl 1 1 1
47.44°, intensity 37.5, hkl 1 1 2
48.63°, intensity 17.8, hkl 2 0 0
51.51°, intensity 17.4, hkl 2 0 -1
61.07°, intensity 12.4, hkl 1 1 -3

Cell and atoms:
abc: 3.7449 3.7447 5.5549
angles: 90.00 90.13 90.00
Space group Pm (No. 6)
One atom of each set of equivalent atoms:
Fe 0.0000 0.0000 0.0000 [1 per cell]
Ru 0.5000 0.5000 0.0001 [1 per cell]
S 0.5007 0.0000 0.2254 [1 per cell]
S 0.9992 0.5000 0.7747 [1 per cell]

No. 12
Structure and calculated PXRD pattern of Fe2RuSe (a cell relaxed with GGA-PBE; a wavelength of 1.5418 Å).
Neutral-atom scattering factors, no anomalous dispersion.

Largest 8 diffraction maxima, by angle, 5 to 70 degrees two-theta:
36.55°, intensity 9.0, hkl 1 1 -1
40.03°, intensity 100.0, hkl 1 1 1
42.53°, intensity 35.8, hkl 2 0 -2
42.99°, intensity 11.6, hkl 0 0 2
43.89°, intensity 41.1, hkl 4 0 0
45.46°, intensity 73.1, hkl 3 1 -1
54.11°, intensity 14.6, hkl 2 0 2
61.55°, intensity 14.7, hkl 0 2 0

Cell and atoms:
abc: 8.5833 3.0133 4.3764
angles: 90.00 105.97 90.00
Space group Cm (No. 8)
One atom of each set of equivalent atoms:
Fe 0.0000 0.0000 0.0000 [2 per cell]
Fe 0.2372 0.5000 0.1367 [2 per cell]
Ru 0.0049 0.5000 0.4954 [2 per cell]
Se 0.2501 0.0000 0.6804 [2 per cell]